For Al15Fe9O32, the PBE+U geometry in Alexandria gives the theoretical powder XRD pattern in this record (Cu Kα (weighted mean of Kα1 and Kα2)).
Kinematic intensities with the Lorentz-polarization factor, no thermal factor.

Top 12 peaks for 2θ = 10–90°, by intensity:
(2 0 -2), d 2.498, 2θ 35.9, intensity 100
(1 -2 5), d 2.460, 2θ 36.5, intensity 61
(1 0 5), d 2.900, 2θ 30.8, intensity 58
(1 -2 1), d 2.910, 2θ 30.7, intensity 45
(4 -2 0), d 1.455, 2θ 64.0, intensity 39
(1 0 -7), d 2.494, 2θ 36.0, intensity 37
(1 2 5), d 1.596, 2θ 57.8, intensity 33
(1 1 -1), d 2.929, 2θ 30.5, intensity 30
(-1 1 5), d 2.940, 2θ 30.4, intensity 24
(0 2 8), d 1.598, 2θ 57.7, intensity 24
(2 -2 2), d 2.467, 2θ 36.4, intensity 21
(2 2 -2), d 1.465, 2θ 63.5, intensity 20

Cell and atoms:
```
Al15Fe9O32
1.0
5.819 0.000 0.000
-2.874 5.065 0.000
-0.380 -3.132 19.017
Al Fe O
15 9 32
direct
0.000 0.000 0.000 Al
0.000 0.000 0.500 Al
0.000 0.500 0.000 Al
0.124 0.753 0.876 Al
0.248 0.006 0.751 Al
0.248 0.507 0.751 Al
0.252 0.494 0.249 Al
0.367 0.254 0.626 Al
0.500 0.000 0.000 Al
0.500 0.500 0.500 Al
0.633 0.746 0.374 Al
0.748 0.506 0.751 Al
0.752 0.493 0.249 Al
0.752 0.994 0.249 Al
0.876 0.247 0.124 Al
0.031 0.563 0.595 Fe
0.220 0.934 0.156 Fe
0.284 0.056 0.343 Fe
0.469 0.439 0.907 Fe
0.500 0.000 0.500 Fe
0.531 0.561 0.093 Fe
0.716 0.944 0.657 Fe
0.780 0.066 0.844 Fe
0.969 0.437 0.405 Fe
0.041 0.580 0.190 O
0.046 0.143 0.192 O
0.062 0.643 0.700 O
0.101 0.160 0.692 O
0.145 0.346 0.059 O
0.187 0.864 0.051 O
0.190 0.919 0.564 O
0.201 0.354 0.557 O
0.288 0.087 0.941 O
0.294 0.649 0.943 O
0.314 0.139 0.448 O
0.359 0.642 0.439 O
0.394 0.854 0.810 O
0.435 0.371 0.802 O
0.459 0.846 0.307 O
0.464 0.409 0.309 O
0.536 0.591 0.691 O
0.541 0.154 0.693 O
0.565 0.629 0.198 O
0.606 0.146 0.190 O
0.641 0.358 0.561 O
0.686 0.861 0.552 O
0.706 0.351 0.057 O
0.712 0.913 0.059 O
0.799 0.646 0.443 O
0.810 0.081 0.436 O
0.813 0.136 0.949 O
0.855 0.654 0.941 O
0.899 0.840 0.308 O
0.938 0.357 0.300 O
0.954 0.857 0.808 O
0.959 0.420 0.810 O
```

***

For AlFe2O, the PBE+U geometry in Alexandria gives the theoretical powder XRD pattern in this record (Cu Kα (weighted mean of Kα1 and Kα2)).
Kinematic intensities with the Lorentz-polarization factor, no thermal factor.

Top 12 peaks for 2θ = 10–90°, by intensity:
(1 1 2), d 2.766, 2θ 32.4, intensity 100
(2 1 1), d 2.519, 2θ 35.6, intensity 62
(1 0 1), d 4.635, 2θ 19.2, intensity 23
(2 0 4), d 1.559, 2θ 59.3, intensity 20
(3 2 1), d 1.623, 2θ 56.7, intensity 17
(2 1 3), d 1.802, 2θ 50.7, intensity 16
(2 2 0), d 2.122, 2θ 42.6, intensity 15
(3 2 3), d 1.374, 2θ 68.3, intensity 13
(3 0 1), d 1.929, 2θ 47.1, intensity 13
(3 1 2), d 1.684, 2θ 54.5, intensity 11
(3 1 0), d 1.898, 2θ 47.9, intensity 10
(4 0 2), d 1.387, 2θ 67.5, intensity 9

Cell and atoms:
```
AlFe2O
1.0
6.001 0.000 0.000
0.000 6.001 0.000
0.000 0.000 7.296
Al Fe O
4 8 4
direct
0.000 0.000 0.000 Al
0.000 0.500 0.250 Al
0.500 0.000 0.750 Al
0.500 0.500 0.500 Al
0.155 0.750 0.625 Fe
0.250 0.155 0.375 Fe
0.250 0.345 0.875 Fe
0.345 0.750 0.125 Fe
0.655 0.250 0.125 Fe
0.750 0.655 0.875 Fe
0.750 0.845 0.375 Fe
0.845 0.250 0.625 Fe
0.000 0.000 0.500 O
0.000 0.500 0.750 O
0.500 0.000 0.250 O
0.500 0.500 0.000 O
```